Starting from the GGA-PBE geometry in Alexandria, the powder X-ray diffraction pattern of Sm2Zn3CuPt4 was simulated for Cu Kα (λ = 1.5418 Å).
Neutral-atom scattering factors, no anomalous dispersion.

Cell and atoms:
```
data_Sm2Zn3CuPt4
_cell_length_a 4.0874
_cell_length_b 4.0874
_cell_length_c 11.1588
_cell_angle_alpha 90.00
_cell_angle_beta 90.00
_cell_angle_gamma 90.00
_symmetry_space_group_name_H-M 'P 1'
_symmetry_Int_Tables_number 1
_symmetry_space_group_name_Hall 'P 1'
loop_
_atom_site_label
_atom_site_fract_x
_atom_site_fract_y
_atom_site_fract_z
_atom_site_occupancy
Sm1 0.0000 0.5000 0.2478 1
Sm2 0.5000 0.0000 0.7522 1
Zn1 0.0000 0.5000 0.8651 1
Zn2 0.5000 0.0000 0.1349 1
Zn3 0.5000 0.5000 0.5000 1
Cu1 0.0000 0.0000 0.5000 1
Pt1 0.0000 0.0000 0.0000 1
Pt2 0.0000 0.5000 0.6427 1
Pt3 0.5000 0.0000 0.3573 1
Pt4 0.5000 0.5000 0.0000 1
```

Main lines, sorted by position (5° ≤ 2θ ≤ 70°):
Position (°2θ)	I (rel.)	index
32.00	25.5	1 1 1
32.55	42.3	1 0 3
34.96	100.0	1 1 2
44.32	55.0	2 0 0
45.17	29.4	1 1 4
46.35	33.9	1 0 5